1.
Structure and simulated powder diffractogram of LiFe2Br8 (a DFT-relaxed cell (GGA-PBE, Alexandria); Cu Kα, 1.54184 Å).

Largest 6 diffraction maxima, by intensity, 10 to 90 degrees two-theta:
d/Å	I (rel.)
3.460	100
3.133	78
3.900	58
3.049	57
2.071	43
3.295	42

Crystal structure
Cell: 9.673 9.673 12.432 Å, 120.05 120.05 58.46°
Fractional positions:
Li1 0.021 0.979 0.750
Li2 0.979 0.021 0.250
Fe1 0.144 0.685 0.476
Fe2 0.315 0.856 0.024
Fe3 0.685 0.144 0.976
Fe4 0.856 0.315 0.524
Br1 0.117 0.697 0.283
Br2 0.130 0.191 0.509
Br3 0.152 0.706 0.831
Br4 0.191 0.130 0.009
Br5 0.291 0.403 0.466
Br6 0.294 0.848 0.669
Br7 0.303 0.883 0.217
Br8 0.403 0.291 0.966
Br9 0.597 0.709 0.034
Br10 0.697 0.117 0.783
Br11 0.706 0.152 0.331
Br12 0.709 0.597 0.534
Br13 0.809 0.870 0.991
Br14 0.848 0.294 0.169
Br15 0.870 0.809 0.491
Br16 0.883 0.303 0.717

2.
Structure and simulated powder diffractogram of LiFeRuBr2 (a DFT-relaxed cell (GGA-PBE, Alexandria); Cu Kα, 1.54184 Å).

Largest 6 diffraction maxima, by intensity, 10 to 90 degrees two-theta:
d/Å	I (rel.)
5.193	100
2.597	75
4.649	63
2.324	51
1.732	48
2.267	38

Crystal structure
Cell: 5.193 5.193 4.649 Å, 90.00 90.00 90.00°
Fractional positions:
Li1 0.000 0.000 0.000
Fe1 0.500 0.500 0.000
Ru1 0.500 0.500 0.500
Br1 0.000 0.500 0.500
Br2 0.500 0.000 0.500

3.
Structure and simulated powder diffractogram of LiTlFeBr5 (a DFT-relaxed cell (GGA-PBE, Alexandria); Cu Kα, 1.54184 Å).

Largest 6 diffraction maxima, by intensity, 10 to 90 degrees two-theta:
d/Å	I (rel.)
3.099	100
3.028	92
3.154	90
2.942	86
3.938	71
4.569	67

Crystal structure
Cell: 7.933 7.933 9.370 Å, 102.67 102.67 103.91°
Fractional positions:
Li1 0.000 0.000 0.000
Li2 0.000 0.000 0.500
Tl1 0.317 0.683 0.750
Tl2 0.683 0.317 0.250
Fe1 0.327 0.673 0.250
Fe2 0.673 0.327 0.750
Br1 0.067 0.933 0.750
Br2 0.096 0.662 0.375
Br3 0.267 0.396 0.064
Br4 0.338 0.904 0.125
Br5 0.396 0.267 0.564
Br6 0.604 0.733 0.436
Br7 0.662 0.096 0.875
Br8 0.733 0.604 0.936
Br9 0.904 0.338 0.625
Br10 0.933 0.067 0.250

4.
Structure and simulated powder diffractogram of Mg3FeBr (a DFT-relaxed cell (GGA-PBE, Alexandria); Cu Kα, 1.54184 Å).

Largest 6 diffraction maxima, by intensity, 10 to 90 degrees two-theta:
d/Å	I (rel.)
3.537	100
2.501	69
1.769	47
2.042	41
2.888	29
1.337	20

Crystal structure
Cell: 5.002 5.002 5.002 Å, 90.00 90.00 90.00°
Fractional positions:
Mg1 0.000 0.000 0.500
Mg2 0.000 0.500 0.000
Mg3 0.500 0.000 0.000
Fe1 0.000 0.000 0.000
Br1 0.500 0.500 0.500

5.
Structure and simulated powder diffractogram of MgFeBr2 (a DFT-relaxed cell (GGA-PBE, Alexandria); Cu Kα, 1.54184 Å).

Largest 6 diffraction maxima, by intensity, 10 to 90 degrees two-theta:
d/Å	I (rel.)
3.608	100
2.543	82
3.232	70
2.045	50
7.468	49
1.949	27

Crystal structure
Cell: 3.718 3.585 7.686 Å, 90.00 103.67 90.00°
Fractional positions:
Mg1 0.000 0.000 0.000
Fe1 0.557 0.500 0.118
Br1 0.399 0.500 0.795
Br2 0.661 0.000 0.340

6.
Structure and simulated powder diffractogram of MgFeBr2 (a DFT-relaxed cell (GGA-PBE, Alexandria); Cu Kα, 1.54184 Å).

Largest 6 diffraction maxima, by intensity, 10 to 90 degrees two-theta:
d/Å	I (rel.)
2.156	100
3.986	94
2.871	51
6.976	44
2.553	27
2.080	23

Crystal structure
Cell: 7.504 7.504 7.504 Å, 151.85 147.82 43.27°
Fractional positions:
Mg1 0.000 0.000 0.000
Fe1 0.500 0.500 0.000
Br1 0.368 0.868 0.500
Br2 0.632 0.132 0.500